The following is a calculated powder diffractogram of Pr2CuTe4. It was derived from a structure optimized by DFT (GGA-PBE), using copper Kα.
Intensities are scaled so that the largest is 100.

Peak list (10 most intense, 10 to 90 degrees two-theta, most intense first)
| d (Å) | 2θ (°) | Rel. int. | hkl |
| --- | --- | --- | --- |
| 3.305 | 27.0 | 100 | 2 0 -2 |
| 2.930 | 30.5 | 65 | 1 1 2 |
| 2.540 | 35.3 | 61 | 1 2 -2 |
| 2.302 | 39.1 | 54 | 3 1 0 |
| 2.913 | 30.7 | 54 | 1 2 0 |
| 2.220 | 40.6 | 35 | 1 0 -4 |
| 2.409 | 37.3 | 26 | 2 2 0 |
| 1.766 | 51.8 | 24 | 0 2 4 |
| 1.780 | 51.3 | 19 | 1 3 2 |
| 1.947 | 46.6 | 18 | 3 2 -2 |

Structure:
```
Pr2CuTe4
1.0
7.7487 0.0000 0.0000
0.0000 6.3344 0.0000
-2.5452 0.0000 8.5075
Pr Cu Te
4 2 8
Cartesian
0.6410 1.5836 3.6824
-0.4642 1.5836 7.9576
5.6677 4.7508 0.5499
4.5625 4.7508 4.8252
-0.0010 4.7508 5.7854
5.2045 1.5836 2.7222
-0.3648 4.7508 3.2582
-1.6803 4.7508 7.7057
3.1831 3.1921 2.1418
3.1831 6.3094 2.1418
2.0204 0.0250 6.3658
2.0204 3.1422 6.3658
6.8838 1.5836 0.8019
5.5682 1.5836 5.2493
```